The following is a theoretical powder diffraction line list of Mo3P3O13. It was derived from the GGA+U geometry in the Materials Project, using Cu Ka.

Most intense lines, 2θ = 10–90°, in order of rising 2θ:
hkl	d_spacing	2θ/deg	intensity
1 0 -1	6.730	13.16	46
0 1 1	5.636	15.72	79
0 0 2	5.428	16.33	27
1 0 -2	4.781	18.56	100
1 1 -1	4.710	18.84	32
2 0 1	3.419	26.07	63
0 2 0	3.295	27.06	41
0 2 1	3.155	28.29	29
1 0 3	3.085	28.95	56
1 2 1	2.867	31.19	43
2 0 -3	2.849	31.40	36
0 2 3	2.437	36.88	27

```
data_Mo3P3O13
_symmetry_space_group_name_H-M 'P 1 21/m 1'
_symmetry_Int_Tables_number 11
_symmetry_space_group_name_Hall '-P 2yb'
_cell_length_a 7.6792
_cell_length_b 6.5941
_cell_length_c 10.9906
_cell_angle_alpha 90.00
_cell_angle_beta 98.96
_cell_angle_gamma 90.00
loop_
_atom_site_label
_atom_site_fract_x
_atom_site_fract_y
_atom_site_fract_z
Mo1 0.0000 0.0000 0.0000
Mo2 0.2297 0.2500 0.5502
Mo3 0.3698 0.7500 0.2032
P1 0.2115 0.7500 0.4794
P2 0.2562 0.2500 0.2311
P3 0.3081 0.2500 0.8815
O1 0.0225 0.7500 0.4060
O2 0.0871 0.2500 0.1234
O3 0.1238 0.7500 0.0866
O4 0.1938 0.2500 0.3546
O5 0.2061 0.0583 0.9095
O6 0.2556 0.5632 0.5598
O7 0.3402 0.7500 0.3791
O8 0.3410 0.2500 0.7440
O9 0.3622 0.0594 0.2079
O10 0.4975 0.7500 0.0510
```

***

The following is a theoretical powder diffraction line list of MoP2O8. It was derived from the GGA+U geometry in the Materials Project, using Cu Ka.

Most intense lines, 2θ = 10–90°, in order of rising 2θ:
hkl	d_spacing	2θ/deg	intensity
0 1 1	7.943	11.14	35
0 2 0	5.494	16.13	11
0 1 2	5.093	17.41	10
0 2 1	4.957	17.89	79
1 0 2	3.874	22.96	100
1 1 2	3.654	24.36	16
0 3 1	3.490	25.52	24
1 3 1	2.906	30.77	9
1 2 3	2.696	33.23	37
2 0 0	2.623	34.19	13
0 5 2	2.053	44.10	10
2 2 5	1.649	55.74	16

```
data_MoP2O8
_symmetry_space_group_name_H-M 'P 21 21 21'
_symmetry_Int_Tables_number 19
_symmetry_space_group_name_Hall 'P 2ac 2ab'
_cell_length_a 5.2452
_cell_length_b 10.9882
_cell_length_c 11.4947
_cell_angle_alpha 90.00
_cell_angle_beta 90.00
_cell_angle_gamma 90.00
loop_
_atom_site_label
_atom_site_fract_x
_atom_site_fract_y
_atom_site_fract_z
Mo1 0.2479 0.0934 0.3462
P1 0.2487 0.3621 0.8348
P2 0.2491 0.5945 0.9622
O1 0.0064 0.5581 0.0299
O2 0.0093 0.3412 0.7548
O3 0.0153 0.4410 0.5355
O4 0.0229 0.6597 0.2481
O5 0.2439 0.7057 0.4440
O6 0.2446 0.9522 0.2879
O7 0.2460 0.4898 0.3490
O8 0.2495 0.2760 0.4220
```

***

The following is a theoretical powder diffraction line list of MoP2O8. It was derived from the GGA+U geometry in the Materials Project, using Cu Ka.

Most intense lines, 2θ = 10–90°, in order of rising 2θ:
hkl	d_spacing	2θ/deg	intensity
0 0 1	7.936	11.15	38
0 1 1	5.468	16.21	46
1 0 1	4.202	21.14	91
1 1 0	4.141	21.46	100
0 0 2	3.968	22.41	62
0 2 0	3.772	23.59	57
1 1 1	3.671	24.24	33
0 1 2	3.512	25.36	61
1 2 0	3.001	29.77	47
1 1 2	2.865	31.22	71
1 2 1	2.807	31.88	68
2 2 2	1.836	49.67	41

```
data_MoP2O8
_symmetry_space_group_name_H-M 'P 21 21 2'
_symmetry_Int_Tables_number 18
_symmetry_space_group_name_Hall 'P 2 2ab'
_cell_length_a 4.9540
_cell_length_b 7.5442
_cell_length_c 7.9362
_cell_angle_alpha 90.00
_cell_angle_beta 90.00
_cell_angle_gamma 90.00
loop_
_atom_site_label
_atom_site_fract_x
_atom_site_fract_y
_atom_site_fract_z
Mo1 0.0000 0.0000 0.2236
P1 0.2464 0.8908 0.6400
O1 0.0000 0.0000 0.7212
O2 0.0000 0.5000 0.2918
O3 0.2206 0.8980 0.0898
O4 0.2298 0.8874 0.4521
O5 0.2435 0.2141 0.2704
```

***

The following is a theoretical powder diffraction line list of MoP2O7. It was derived from the GGA+U geometry in the Materials Project, using Cu Ka.

Most intense lines, 2θ = 10–90°, in order of rising 2θ:
hkl	d_spacing	2θ/deg	intensity
0 1 1	5.280	16.79	100
1 1 0	4.162	21.35	33
1 1 -1	4.005	22.19	20
1 0 1	3.484	25.56	13
1 1 1	3.219	27.71	14
1 2 -1	3.089	28.91	42
1 1 -2	3.010	29.68	21
0 2 2	2.640	33.96	13
1 1 2	2.365	38.04	9
1 3 -2	2.115	42.76	9
2 1 1	2.023	44.80	9
2 2 -2	2.003	45.28	7

```
data_MoP2O7
_symmetry_space_group_name_H-M 'P 1 21 1'
_symmetry_Int_Tables_number 4
_symmetry_space_group_name_Hall 'P 2yb'
_cell_length_a 4.9879
_cell_length_b 8.4034
_cell_length_c 7.0661
_cell_angle_alpha 90.00
_cell_angle_beta 106.14
_cell_angle_gamma 90.00
loop_
_atom_site_label
_atom_site_fract_x
_atom_site_fract_y
_atom_site_fract_z
Mo1 0.2123 0.0000 0.2259
P1 0.2460 0.7326 0.6061
P2 0.3861 0.3148 0.0101
O1 0.0034 0.6723 0.6794
O2 0.1443 0.8316 0.4216
O3 0.1488 0.4365 0.9699
O4 0.2838 0.1437 0.0096
O5 0.4252 0.8552 0.7703
O6 0.4304 0.8320 0.1312
O7 0.4404 0.5937 0.5868
```